Diffraction record for CsTlHgSb. The powder diffractogram is computed, not measured: it uses a crystal structure in Alexandria, relaxed with GGA-PBE and Cu Kα, 1.54184 Å.
Intensities are scaled so that the largest is 100.

Top 6 peaks for 10° ≤ 2θ ≤ 80°, most intense first:
- 2θ = 28.18°, d = 3.167 Å, rel. 100.0
- 2θ = 19.22°, d = 4.617 Å, rel. 51.0
- 2θ = 30.97°, d = 2.887 Å, rel. 42.4
- 2θ = 29.44°, d = 3.034 Å, rel. 39.6
- 2θ = 39.56°, d = 2.278 Å, rel. 32.8
- 2θ = 45.94°, d = 1.975 Å, rel. 29.5

Structure:
```
CsTlHgSb
1.0
-2.526 2.887 5.691
2.526 -2.887 5.691
2.526 2.887 -5.691
Cs Tl Hg Sb
1 1 1 1
Cartesian
0.000 0.000 0.000
0.000 0.000 3.990
0.000 2.887 2.711
0.000 0.000 7.032
```